For Cs2KCoF6, a crystal structure in Alexandria, relaxed with PBE+U gives the computed powder XRD pattern in this record (Cu Kα).
Kinematic intensities with the Lorentz-polarization factor, no thermal factor.

Structure:
```
Cs2KCoF6
1.0
0.0000 4.5139 4.5139
4.5139 0.0000 4.5139
4.5139 4.5139 0.0000
Cs K Co F
2 1 1 6
direct
0.2500 0.2500 0.2500
0.7500 0.7500 0.7500
0.0000 0.0000 0.0000
0.5000 0.5000 0.5000
0.2910 0.2910 0.7090
0.2910 0.7090 0.2910
0.2910 0.7090 0.7090
0.7090 0.2910 0.2910
0.7090 0.2910 0.7090
0.7090 0.7090 0.2910
```

Top 10 peaks for 10 to 90 degrees two-theta, low angle first:
2θ (°)	Rel. int.
19.7	11.9
28.0	100.0
34.4	23.3
39.9	35.7
44.9	8.7
49.5	36.0
57.8	20.7
65.4	20.3
69.0	6.5
79.4	21.4